Record 1
The following is a calculated powder diffraction line list of Tb5S7. It was derived from a DFT-relaxed cell (PBE, the Materials Project), using Cu Ka.
Neutral-atom scattering factors, no anomalous dispersion.

```
Tb5S7
1.0
6.451 -1.914 0.000
6.451 1.914 0.000
-2.958 0.000 11.274
Tb S
5 7
Direct
0.000 0.000 0.000
0.112 0.112 0.421
0.301 0.301 0.188
0.699 0.699 0.812
0.888 0.888 0.579
0.041 0.041 0.785
0.259 0.259 0.648
0.340 0.340 0.949
0.500 0.500 0.500
0.660 0.660 0.051
0.741 0.741 0.352
0.959 0.959 0.215
```

Top 10 peaks for 2θ = 10–90°, sorted by position:
Position (°2θ)  Rel. int.
23.81  83
24.34  100
26.16  33
27.66  38
31.38  40
33.02  48
34.11  37
38.86  26
41.89  29
43.30  28

Record 2
The following is a calculated powder diffraction line list of TbS. It was derived from a DFT-relaxed cell (PBE, the Materials Project), using Cu Ka.
Neutral-atom scattering factors, no anomalous dispersion.

```
TbS
1.0
0.000 2.777 2.777
2.777 0.000 2.777
2.777 2.777 0.000
Tb S
1 1
Direct
0.000 0.000 0.000
0.500 0.500 0.500
```

Top 9 peaks for 2θ = 10–90°, sorted by position:
Position (°2θ)  Rel. int.
27.83  81
32.24  100
46.24  72
54.83  40
57.49  25
67.46  12
74.47  16
76.76  32
85.70  25

Record 3
The following is a calculated powder diffraction line list of Tb2TeS2. It was derived from a DFT-relaxed cell (PBE, the Materials Project), using Cu Ka.
Neutral-atom scattering factors, no anomalous dispersion.

```
Tb2TeS2
1.0
-2.116 2.689 6.804
2.116 -2.689 6.804
2.116 2.689 -6.804
Tb Te S
2 1 2
Direct
0.166 0.166 0.000
0.834 0.834 0.000
0.000 0.500 0.500
0.295 0.795 0.500
0.705 0.205 0.500
```

Top 10 peaks for 2θ = 10–90°, sorted by position:
Position (°2θ)  Rel. int.
17.74  94
28.85  100
29.90  37
33.32  36
37.83  40
39.74  18
42.73  18
44.65  60
46.60  16
55.24  17